1.
The following is a theoretical powder diffraction line list of NaTmGeO4. It was derived from the GGA-PBE geometry in the Materials Project, using Cu Kα, 1.54184 Å.
Neutral-atom scattering factors, no anomalous dispersion.

Main lines, in order of rising 2θ (2θ from 10° to 90°):
- 2θ 15.56, I = 42, (2 0 0)
- 2θ 23.11, I = 85, (1 1 1)
- 2θ 27.76, I = 43, (0 2 0)
- 2θ 32.17, I = 100, (3 1 1)
- 2θ 33.54, I = 27, (1 2 1)
- 2θ 47.23, I = 28, (2 2 2)

Atomic structure:
abc: 11.3927 6.4275 5.3014
angles: 90.00 90.00 90.00
Space group Pnma (No. 62)
Unique sites:
Na 0.0000 0.0000 0.0000
Tm 0.2231 0.2500 0.4938
Ge 0.0986 0.7500 0.5513
O 0.0462 0.2500 0.3313
O 0.1124 0.7500 0.2234
O 0.1764 0.5407 0.7074

=====

2.
The following is a theoretical powder diffraction line list of CdCu2Sn3S8. It was derived from the GGA-PBE geometry in the Materials Project, using Cu Kα, 1.54184 Å.
Neutral-atom scattering factors, no anomalous dispersion.

Main lines, in order of rising 2θ (2θ from 10° to 90°):
- 2θ 14.45, I = 31, (0 0 3)
- 2θ 27.87, I = 100, (0 2 1)
- 2θ 33.76, I = 50, (0 2 4)
- 2θ 44.32, I = 39, (1 2 5)
- 2θ 48.49, I = 72, (2 2 0)
- 2θ 67.78, I = 22, (4 0 7)

Atomic structure:
abc: 7.5053 7.5053 18.4099
angles: 90.00 90.00 120.00
Space group R-3m (No. 166, hexagonal axes)
Unique sites:
Cd 0.0000 0.0000 0.0000
Cu 0.0000 0.0000 0.3828
Sn 0.0000 0.5000 0.5000
S 0.0000 0.0000 0.2505
S 0.0067 0.5034 0.7542

=====

3.
The following is a theoretical powder diffraction line list of Cs3InCl6. It was derived from the GGA-PBE geometry in the Materials Project, using Cu Kα, 1.54184 Å.
Neutral-atom scattering factors, no anomalous dispersion.

Main lines, in order of rising 2θ (2θ from 10° to 90°):
- 2θ 21.61, I = 100, (2 2 0)
- 2θ 30.75, I = 52, (4 0 0)
- 2θ 37.90, I = 43, (4 2 2)
- 2θ 44.04, I = 35, (4 4 0)
- 2θ 49.57, I = 26, (6 2 0)
- 2θ 59.47, I = 27, (6 4 2)

Atomic structure:
abc: 11.6310 11.6310 11.6310
angles: 90.00 90.00 90.00
Space group Fm-3m (No. 225)
Unique sites:
Cs 0.0000 0.0000 0.0000
Cs 0.2500 0.2500 0.2500
In 0.0000 0.0000 0.5000
Cl 0.0000 0.0000 0.2808

=====

4.
The following is a theoretical powder diffraction line list of Zn3P2O8. It was derived from the GGA-PBE geometry in the Materials Project, using Cu Kα, 1.54184 Å.
Neutral-atom scattering factors, no anomalous dispersion.

Main lines, in order of rising 2θ (2θ from 10° to 90°):
- 2θ 20.02, I = 97, (1 0 0)
- 2θ 22.04, I = 44, (1 0 -2)
- 2θ 25.42, I = 100, (0 1 2)
- 2θ 34.81, I = 40, (1 2 1)
- 2θ 35.53, I = 32, (2 0 -2)
- 2θ 36.03, I = 55, (1 3 -1)

Atomic structure:
abc: 5.0801 8.5976 8.7895
angles: 90.00 119.17 90.00
Space group P2_1/c (No. 14)
Unique sites:
Zn 0.0000 0.0000 0.0000
Zn 0.0457 0.1385 0.6185
P 0.3312 0.6898 0.3009
O 0.1782 0.6462 0.7462
O 0.1929 0.5796 0.1390
O 0.2680 0.6290 0.4447
O 0.3234 0.1976 0.1296

=====

5.
The following is a theoretical powder diffraction line list of Mg14ZrB. It was derived from the GGA-PBE geometry in the Materials Project, using Cu Kα, 1.54184 Å.
Neutral-atom scattering factors, no anomalous dispersion.

Main lines, in order of rising 2θ (2θ from 10° to 90°):
- 2θ 18.93, I = 26, (1 1 1)
- 2θ 33.86, I = 39, (0 2 2)
- 2θ 35.60, I = 45, (4 0 0)
- 2θ 36.78, I = 75, (2 0 4)
- 2θ 38.40, I = 100, (2 2 2)
- 2θ 49.94, I = 23, (4 2 2)

Atomic structure:
abc: 10.0885 6.0122 11.1743
angles: 90.00 90.00 90.00
Space group Amm2 (No. 38)
Unique sites:
Mg 0.0000 0.0000 0.0000
Mg 0.0000 0.0000 0.4958
Mg 0.0000 0.2447 0.2479
Mg 0.2467 0.0000 0.6599
Mg 0.2572 0.2499 0.4102
Mg 0.2841 0.0000 0.1433
Mg 0.5000 0.2380 0.7675
Zr 0.5000 0.0000 0.5122
B 0.5000 0.0000 0.9720